Structure and computed X-ray diffraction stick pattern of Li2Co (a DFT-relaxed cell (GGA-PBE, Alexandria); Cu Kα).
No peak broadening, texture or thermal motion is included.

a b c (Å): 2.5578 2.5578 6.9221
angles (deg): 90.00 90.00 120.00
Atoms (fractional coordinates):
Li 0.3333 0.6667 0.3114
Li 0.6667 0.3333 0.6886
Co 0.0000 0.0000 0.0000

The 10 most intense peaks (10° ≤ 2θ ≤ 90°), in order of falling intensity:
two_theta	intensity
12.8	1000
42.9	350
48.8	245
25.7	173
40.7	159
57.7	107
39.0	95
68.8	71
82.1	48
87.1	47